# ThMnB12
Simulated powder X-ray diffraction pattern, λ = 1.5418 Å (Cu Kα). Input: a GGA-PBE-relaxed structure.

The 6 most intense peaks (2θ from 10° to 80°), low angle first:
(0 0 1), 2θ 10.73, intensity 57
(1 0 0), 2θ 21.66, intensity 42
(1 0 1), 2θ 24.23, intensity 38
(1 1 0), 2θ 30.77, intensity 100
(1 1 2), 2θ 37.92, intensity 43
(2 1 0), 2θ 49.67, intensity 33

Crystal structure
abc: 4.1024 4.1024 8.2458
angles: 90.00 90.00 90.00
Space group P4/mmm (No. 123)
One atom of each set of equivalent atoms:
Th 0.0000 0.0000 0.0000 [1 per cell]
Mn 0.0000 0.0000 0.5000 [1 per cell]
B 0.1992 0.5000 0.2509 [8 per cell]
B 0.5000 0.5000 0.0994 [2 per cell]
B 0.5000 0.5000 0.4007 [2 per cell]